For Th3Sc2Bi3, a crystal structure in Alexandria, relaxed with PBE gives the calculated powder diffraction line list in this record (λ = 1.5418 Å (Cu Kα)).

Largest 10 diffraction maxima, by intensity, 10 to 90 degrees two-theta:
2θ/deg	I_rel	index
31.81	100	1 1 4
28.57	59	1 3 0
29.12	46	1 3 1
33.40	33	0 4 4
30.51	27	0 2 5
44.11	26	2 0 0
33.22	24	1 3 3
57.68	22	1 7 5
12.25	19	0 2 0
56.45	18	2 4 4

Structure:
```
data_Th3Sc2Bi3
_cell_length_a 4.106
_cell_length_b 14.446
_cell_length_c 16.025
_cell_angle_alpha 90.00
_cell_angle_beta 90.00
_cell_angle_gamma 90.00
_symmetry_space_group_name_H-M 'C m c m'
_symmetry_Int_Tables_number 63
_symmetry_space_group_name_Hall '-C 2c 2'
loop_
_atom_site_label
_atom_site_type_symbol
_atom_site_fract_x
_atom_site_fract_y
_atom_site_fract_z
Th1 Th 0.000 0.048 0.125
Th2 Th 0.000 0.371 0.250
Sc1 Sc 0.000 0.242 0.587
Bi1 Bi 0.000 0.335 0.750
Bi2 Bi 0.000 0.393 0.039
```